Structure and simulated powder diffractogram of BaSmCo2O6 (a GGA+U-relaxed structure; Cu Kα (λ = 1.5418 Å)).

Main lines, in order of rising 2θ (5° ≤ 2θ ≤ 70°):
(1 0 2), 2θ = 32.82°, rel. 100; (0 2 2), 2θ = 33.02°, rel. 49; (1 2 2), 2θ = 40.57°, rel. 25; (2 0 0), 2θ = 46.79°, rel. 16; (0 0 4), 2θ = 47.27°, rel. 15; (0 4 0), 2θ = 47.52°, rel. 15; (2 2 2), 2θ = 58.46°, rel. 19; (1 2 4), 2θ = 58.77°, rel. 20; (1 4 2), 2θ = 58.93°, rel. 19; (2 4 0), 2θ = 68.90°, rel. 9

Structural model:
Cell: 3.883 7.653 7.692 Å, 90.00 90.00 90.00°
Sites, in units of the cell vectors:
Ba1 0.000 0.249 0.000
Ba2 0.000 0.751 0.000
Sm1 0.000 0.252 0.500
Sm2 0.000 0.748 0.500
Co1 0.500 0.000 0.253
Co2 0.500 0.000 0.747
Co3 0.500 0.500 0.253
Co4 0.500 0.500 0.747
O1 0.000 0.000 0.277
O2 0.000 0.000 0.723
O3 0.000 0.500 0.282
O4 0.000 0.500 0.718
O5 0.500 0.000 0.000
O6 0.500 0.000 0.500
O7 0.500 0.254 0.275
O8 0.500 0.254 0.725
O9 0.500 0.500 0.000
O10 0.500 0.500 0.500
O11 0.500 0.746 0.275
O12 0.500 0.746 0.725